Entry 1:
Starting from a crystal structure in Alexandria, relaxed with PBE, the PXRD pattern of Ac2ZnAg3 was simulated for λ = 1.5418 Å (Cu Kα).
Kinematic intensities with the Lorentz-polarization factor, no thermal factor.

```
data_Ac2ZnAg3
_symmetry_space_group_name_H-M 'P m m 2'
_symmetry_Int_Tables_number 25
_cell_length_a 4.0580
_cell_length_b 4.7633
_cell_length_c 8.3679
_cell_angle_alpha 90.00
_cell_angle_beta 90.00
_cell_angle_gamma 90.00
loop_
_symmetry_equiv_pos_as_xyz
'x,y,z'
'-x,-y,z'
'-x,y,z'
'x,-y,z'
loop_
_atom_site_label
_atom_site_type_symbol
_atom_site_fract_x
_atom_site_fract_y
_atom_site_fract_z
Ac1 Ac 0.0000 0.0000 0.0000
Ac2 Ac 0.0000 0.5000 0.4974
Zn1 Zn 0.5000 0.5000 0.8301
Ag1 Ag 0.5000 0.0000 0.3361
Ag2 Ag 0.5000 0.0000 0.6752
Ag3 Ag 0.5000 0.5000 0.1542
```

Most intense lines, 10 to 80 degrees two-theta, low angle first:
| h k l | 2θ (°) | I (rel.) |
| --- | --- | --- |
| 0 1 1 | 21.47 | 155 |
| 1 0 2 | 30.69 | 493 |
| 1 1 1 | 30.86 | 1000 |
| 0 1 3 | 37.36 | 510 |
| 0 2 0 | 37.77 | 250 |
| 2 0 0 | 44.66 | 155 |
| 1 0 4 | 48.99 | 140 |
| 1 2 2 | 49.43 | 264 |
| 2 1 3 | 59.60 | 258 |
| 1 3 1 | 63.94 | 134 |



Entry 2:
Starting from a crystal structure in Alexandria, relaxed with PBE, the PXRD pattern of CaTh2Co9 was simulated for λ = 1.5418 Å (Cu Kα).
Kinematic intensities with the Lorentz-polarization factor, no thermal factor.

```
data_CaTh2Co9
_symmetry_space_group_name_H-M 'R -3 m'
_symmetry_Int_Tables_number 166
_symmetry_space_group_name_Hall '-R 3 2"'
_cell_length_a 5.0012
_cell_length_b 5.0012
_cell_length_c 24.8005
_cell_angle_alpha 90.00
_cell_angle_beta 90.00
_cell_angle_gamma 120.00
loop_
_atom_site_label
_atom_site_type_symbol
_atom_site_fract_x
_atom_site_fract_y
_atom_site_fract_z
Ca1 Ca 0.0000 0.0000 0.0000
Th1 Th 0.0000 0.0000 0.1362
Co1 Co 0.0000 0.0000 0.3334
Co2 Co 0.0000 0.0000 0.5000
Co3 Co 0.0012 0.5006 0.0797
```

Most intense lines, 10 to 80 degrees two-theta, low angle first:
| h k l | 2θ (°) | I (rel.) |
| --- | --- | --- |
| 0 0 3 | 10.70 | 850 |
| 1 0 4 | 25.08 | 766 |
| 1 0 7 | 32.65 | 761 |
| 0 1 8 | 35.61 | 706 |
| 1 1 0 | 35.91 | 841 |
| 0 2 1 | 41.87 | 521 |
| 1 1 6 | 42.24 | 1000 |
| 0 2 4 | 44.31 | 458 |
| 0 1 11 | 45.35 | 553 |
| 2 0 5 | 45.71 | 448 |



Entry 3:
Starting from a crystal structure in Alexandria, relaxed with PBE, the PXRD pattern of FeCu2C12 was simulated for λ = 1.5418 Å (Cu Kα).
Kinematic intensities with the Lorentz-polarization factor, no thermal factor.

```
data_FeCu2C12
_symmetry_space_group_name_H-M 'F -4 3 m'
_symmetry_Int_Tables_number 216
_symmetry_space_group_name_Hall 'F -4 2 3'
_cell_length_a 10.0203
_cell_length_b 10.0203
_cell_length_c 10.0203
_cell_angle_alpha 90.00
_cell_angle_beta 90.00
_cell_angle_gamma 90.00
loop_
_atom_site_label
_atom_site_type_symbol
_atom_site_fract_x
_atom_site_fract_y
_atom_site_fract_z
Fe1 Fe 0.0000 0.0000 0.0000
Cu1 Cu 0.0000 0.0000 0.5000
Cu2 Cu 0.2500 0.2500 0.2500
C1 C 0.0000 0.0000 0.1883
C2 C 0.0000 0.0000 0.3128
```

Most intense lines, 10 to 80 degrees two-theta, low angle first:
| h k l | 2θ (°) | I (rel.) |
| --- | --- | --- |
| 1 1 1 | 15.32 | 327 |
| 2 0 0 | 17.70 | 594 |
| 2 2 0 | 25.14 | 1000 |
| 3 1 1 | 29.57 | 204 |
| 4 0 0 | 35.85 | 491 |
| 3 3 1 | 39.19 | 94 |
| 4 2 2 | 44.28 | 274 |
| 4 4 0 | 51.60 | 224 |
| 6 2 0 | 58.23 | 296 |
| 6 4 2 | 70.30 | 232 |